The following is a theoretical PXRD pattern of Cs4Rb3CuCl8. It was derived from a DFT-relaxed cell (GGA-PBE, Alexandria), using Cu Kα (weighted mean of Kα1 and Kα2).

Crystal structure
```
16
Lattice="8.477 -4.636 0.000 8.477 4.636 0.000 -5.210 0.000 7.873" Properties=species:S:1:pos:R:3 pbc="T T T"
Cs 0.000 0.000 0.000
Cs 1.633 2.318 3.937
Cs 1.633 -2.318 3.937
Cs 8.477 0.000 0.000
Rb -2.605 0.000 3.937
Rb 4.238 2.318 0.000
Rb 4.238 -2.318 0.000
Cu 5.871 0.000 3.937
Cl 2.728 0.000 1.700
Cl 0.215 0.000 5.952
Cl 6.838 1.850 2.399
Cl 4.905 1.850 5.475
Cl 6.838 -1.850 2.399
Cl 4.905 -1.850 5.475
Cl 11.528 0.000 1.921
Cl 9.014 0.000 6.173
```

Most intense lines, 10° ≤ 2θ ≤ 90°, by intensity:
2θ = 27.0°, I 100; 2θ = 25.2°, I 65; 2θ = 22.9°, I 42; 2θ = 37.1°, I 40; 2θ = 37.3°, I 40; 2θ = 22.6°, I 23; 2θ = 22.7°, I 23; 2θ = 45.4°, I 19; 2θ = 46.9°, I 19; 2θ = 38.8°, I 17